Record 1
Structure and computed powder diffraction line list of AlCu4Au2 (a structure optimized by DFT (PBE); copper Kα).
Lines closer than 0.1° are merged.

Structure:
Unit cell a=5.3622 b=5.3622 c=3.6541 alpha=90.00 beta=90.00 gamma=100.13
Fractional coordinates of all 7 atoms:
Al 0.0000 0.0000 0.0000
Cu 0.0000 0.5000 0.0000
Cu 0.2283 0.7717 0.5000
Cu 0.5000 0.0000 0.0000
Cu 0.7717 0.2283 0.5000
Au 0.2890 0.2890 0.5000
Au 0.7110 0.7110 0.5000

The 6 most intense peaks (2θ = 15–90°), most intense first:
2θ 42.24, d = 2.140 Å, I = 100; 2θ 24.36, d = 3.654 Å, I = 34; 2θ 32.79, d = 2.731 Å, I = 33; 2θ 44.05, d = 2.056 Å, I = 24; 2θ 25.89, d = 3.442 Å, I = 22; 2θ 33.97, d = 2.639 Å, I = 22

Record 2
Structure and computed powder diffraction line list of LiSmMgAu (a structure optimized by DFT (PBE); copper Kα).
Lines closer than 0.1° are merged.

Structure:
Unit cell a=4.9512 b=4.9512 c=4.9512 alpha=60.00 beta=60.00 gamma=60.00
Fractional coordinates of all 4 atoms:
Li 0.0000 0.0000 0.0000
Sm 0.7500 0.7500 0.7500
Mg 0.2500 0.2500 0.2500
Au 0.5000 0.5000 0.5000

The 6 most intense peaks (2θ = 15–90°), most intense first:
2θ 36.29, d = 2.476 Å, I = 100; 2θ 21.99, d = 4.043 Å, I = 86; 2θ 42.83, d = 2.111 Å, I = 47; 2θ 65.28, d = 1.429 Å, I = 36; 2θ 57.36, d = 1.606 Å, I = 20; 2θ 52.26, d = 1.751 Å, I = 18

Record 3
Structure and computed powder diffraction line list of Ba8LiPt4 (a structure optimized by DFT (PBE); copper Kα).
Lines closer than 0.1° are merged.

Structure:
Unit cell a=11.2979 b=11.2979 c=15.0864 alpha=129.94 beta=129.94 gamma=23.73
Fractional coordinates of all 13 atoms:
Ba 0.0000 0.0000 0.0000
Ba 0.0301 0.0301 0.7474
Ba 0.0738 0.0738 0.4815
Ba 0.3264 0.3264 0.6660
Ba 0.4090 0.4090 0.1545
Ba 0.6615 0.6615 0.3390
Ba 0.7053 0.7053 0.0731
Ba 0.7356 0.7356 0.8206
Li 0.3673 0.3673 0.4100
Pt 0.0326 0.0326 0.2376
Pt 0.2201 0.2201 0.9458
Pt 0.5153 0.5153 0.8746
Pt 0.7027 0.7027 0.5828

The 6 most intense peaks (2θ = 15–90°), most intense first:
2θ 40.43, d = 2.231 Å, I = 100; 2θ 24.97, d = 3.566 Å, I = 85; 2θ 26.12, d = 3.411 Å, I = 71; 2θ 31.17, d = 2.870 Å, I = 68; 2θ 35.50, d = 2.528 Å, I = 63; 2θ 29.53, d = 3.025 Å, I = 60

Record 4
Structure and computed powder diffraction line list of Pm4Ho6Tm19 (a structure optimized by DFT (PBE); copper Kα).
Lines closer than 0.1° are merged.

Structure:
Unit cell a=10.7012 b=10.7012 c=10.7012 alpha=109.47 beta=109.47 gamma=109.47
Fractional coordinates of all 29 atoms:
Pm 0.0000 0.0000 0.6421
Pm 0.0000 0.6421 0.0000
Pm 0.3579 0.3579 0.3579
Pm 0.6421 0.0000 0.0000
Ho 0.1283 0.6283 0.5000
Ho 0.3717 0.5000 0.8717
Ho 0.5000 0.1283 0.6283
Ho 0.5000 0.8717 0.3717
Ho 0.6283 0.5000 0.1283
Ho 0.8717 0.3717 0.5000
Tm 0.0000 0.0000 0.0000
Tm 0.0000 0.2628 0.2628
Tm 0.0000 0.7372 0.7372
Tm 0.0123 0.8003 0.3385
Tm 0.1997 0.2120 0.5382
Tm 0.2120 0.5382 0.1997
Tm 0.2628 0.0000 0.2628
Tm 0.2628 0.2628 0.0000
Tm 0.3262 0.7880 0.9877
Tm 0.3385 0.0123 0.8003
Tm 0.4618 0.6738 0.6615
Tm 0.5382 0.1997 0.2120
Tm 0.6615 0.4618 0.6738
Tm 0.6738 0.6615 0.4618
Tm 0.7372 0.0000 0.7372
Tm 0.7372 0.7372 0.0000
Tm 0.7880 0.9877 0.3262
Tm 0.8003 0.3385 0.0123
Tm 0.9877 0.3262 0.7880

The 6 most intense peaks (2θ = 15–90°), most intense first:
2θ 30.70, d = 2.912 Å, I = 100; 2θ 37.10, d = 2.423 Å, I = 76; 2θ 28.90, d = 3.089 Å, I = 65; 2θ 27.00, d = 3.302 Å, I = 50; 2θ 35.59, d = 2.522 Å, I = 47; 2θ 60.91, d = 1.521 Å, I = 30

What did the first record say?
Structure and computed powder diffraction line list of AlCu4Au2 (a structure optimized by DFT (PBE); copper Kα).
Lines closer than 0.1° are merged.

Structure:
Unit cell a=5.3622 b=5.3622 c=3.6541 alpha=90.00 beta=90.00 gamma=100.13
Fractional coordinates of all 7 atoms:
Al 0.0000 0.0000 0.0000
Cu 0.0000 0.5000 0.0000
Cu 0.2283 0.7717 0.5000
Cu 0.5000 0.0000 0.0000
Cu 0.7717 0.2283 0.5000
Au 0.2890 0.2890 0.5000
Au 0.7110 0.7110 0.5000

The 6 most intense peaks (2θ = 15–90°), most intense first:
2θ 42.24, d = 2.140 Å, I = 100; 2θ 24.36, d = 3.654 Å, I = 34; 2θ 32.79, d = 2.731 Å, I = 33; 2θ 44.05, d = 2.056 Å, I = 24; 2θ 25.89, d = 3.442 Å, I = 22; 2θ 33.97, d = 2.639 Å, I = 22